Theoretical X-ray powder pattern
Compound: Mn2PdO4
Radiation: a wavelength of 1.5418 Å
Structure: a structure optimized by DFT (PBE+U)
Peak positions follow from Bragg's law for the DFT cell and can differ from measured ones.

Atomic structure:
a = 6.1493 Å, b = 6.1493 Å, c = 6.2101 Å
α = 119.82°, β = 119.82°, γ = 89.70°
Fractional positions:
1 Mn 0.0000 0.0000 0.0000
2 Mn 0.0000 0.0000 0.5000
3 Mn 0.0000 0.5000 0.0000
4 Mn 0.5000 0.0000 0.5000
5 Pd 0.3752 0.6248 0.7500
6 Pd 0.6248 0.3752 0.2500
7 O 0.2007 0.2328 0.9658
8 O 0.2328 0.2007 0.4658
9 O 0.2333 0.7658 0.0326
10 O 0.2342 0.7667 0.4674
11 O 0.7658 0.2333 0.5326
12 O 0.7667 0.2342 0.9674
13 O 0.7672 0.7993 0.5342
14 O 0.7993 0.7672 0.0342

Top 6 peaks for 2θ from 15° to 90°, most intense first:
| 2θ (°) | Rel. int. |
| --- | --- |
| 28.8 | 100 |
| 33.7 | 88 |
| 34.1 | 86 |
| 34.2 | 85 |
| 29.0 | 49 |
| 59.5 | 34 |